[1]
Diffraction record for LaHo3N4. The powder XRD pattern is theoretical, not measured: it uses a DFT-relaxed cell (GGA-PBE, Alexandria) and Cu Kα X-rays.
Lines closer than 0.1° are merged.

Cell and atoms:
Lattice parameters (Å, degrees): 6.1130 7.0723 6.1047 90.00 109.49 90.00
Space group P2/c (No. 13)
Asymmetric unit:
La 0.0000 0.1265 0.2500 [2 per cell]
Ho 0.0000 0.3784 0.7500 [2 per cell]
Ho 0.5000 0.1340 0.7500 [2 per cell]
Ho 0.5000 0.3759 0.2500 [2 per cell]
N 0.2531 0.3785 0.5085 [4 per cell]
N 0.2624 0.1381 0.9956 [4 per cell]

Principal peaks in the range 2θ from 15° to 90°, in order of falling intensity:
- 2.882 Å, rel. 100, (2 0 0)
- 2.496 Å, rel. 72, (2 0 -2)
- 1.506 Å, rel. 34, (4 0 -2)
- 1.763 Å, rel. 25, (2 0 2)
- 1.766 Å, rel. 25, (3 2 -1)
- 1.442 Å, rel. 12, (4 0 0)
- 1.504 Å, rel. 11, (2 0 -4)
- 1.116 Å, rel. 11, (5 2 -3)
- 1.145 Å, rel. 10, (5 2 -1)
- 1.248 Å, rel. 8, (4 0 -4)


[2]
Diffraction record for LaHo2PtN4. The powder XRD pattern is theoretical, not measured: it uses a DFT-relaxed cell (GGA-PBE, Alexandria) and Cu Kα X-rays.
Lines closer than 0.1° are merged.

Cell and atoms:
Lattice parameters (Å, degrees): 3.4289 11.9465 11.6607 90.00 90.00 90.00
Space group Cmcm (No. 63)
Asymmetric unit:
La 0.0000 0.1121 0.2500 [4 per cell]
Ho 0.0000 0.3716 0.0448 [8 per cell]
Pt 0.0000 0.1504 0.7500 [4 per cell]
N 0.0000 0.0000 0.0000 [4 per cell]
N 0.0000 0.2726 0.6226 [8 per cell]
N 0.0000 0.4532 0.2500 [4 per cell]

Principal peaks in the range 2θ from 15° to 90°, in order of falling intensity:
- 2.869 Å, rel. 100, (1 1 2)
- 2.373 Å, rel. 99, (1 3 2)
- 2.987 Å, rel. 61, (0 4 0)
- 2.915 Å, rel. 40, (0 0 4)
- 5.316 Å, rel. 30, (0 2 1)
- 1.478 Å, rel. 28, (2 0 4)
- 2.086 Å, rel. 26, (0 4 4)
- 1.487 Å, rel. 25, (2 4 0)
- 2.514 Å, rel. 23, (1 1 3)
- 2.172 Å, rel. 23, (0 2 5)


[3]
Diffraction record for LaHo2SiN4. The powder XRD pattern is theoretical, not measured: it uses a DFT-relaxed cell (GGA-PBE, Alexandria) and Cu Kα X-rays.
Lines closer than 0.1° are merged.

Cell and atoms:
Lattice parameters (Å, degrees): 3.4010 11.6108 11.5083 90.00 90.00 90.00
Space group Cmcm (No. 63)
Asymmetric unit:
La 0.0000 0.0871 0.2500 [4 per cell]
Ho 0.0000 0.3685 0.0420 [8 per cell]
Si 0.0000 0.1777 0.7500 [4 per cell]
N 0.0000 0.0000 0.0000 [4 per cell]
N 0.0000 0.2645 0.6276 [8 per cell]
N 0.0000 0.4025 0.2500 [4 per cell]

Principal peaks in the range 2θ from 15° to 90°, in order of falling intensity:
- 2.839 Å, rel. 100, (1 1 2)
- 3.200 Å, rel. 77, (0 2 3)
- 2.335 Å, rel. 48, (1 3 2)
- 2.903 Å, rel. 44, (0 4 0)
- 2.494 Å, rel. 41, (1 3 1)
- 1.881 Å, rel. 32, (1 1 5)
- 2.877 Å, rel. 32, (0 0 4)
- 1.710 Å, rel. 28, (1 3 5)
- 2.555 Å, rel. 26, (1 3 0)
- 1.819 Å, rel. 21, (1 5 2)


[4]
Diffraction record for La2HoUN5. The powder XRD pattern is theoretical, not measured: it uses a DFT-relaxed cell (GGA-PBE, Alexandria) and Cu Kα X-rays.
Lines closer than 0.1° are merged.

Cell and atoms:
Lattice parameters (Å, degrees): 4.1078 4.1078 9.0436 90.00 90.00 90.00
Space group P4/mmm (No. 123)
Asymmetric unit:
La 0.0000 0.0000 0.2320 [2 per cell]
Ho 0.5000 0.5000 0.5000 [1 per cell]
U 0.5000 0.5000 0.0000 [1 per cell]
N 0.0000 0.0000 0.5000 [1 per cell]
N 0.0000 0.5000 0.0000 [2 per cell]
N 0.5000 0.5000 0.2519 [2 per cell]

Principal peaks in the range 2θ from 15° to 90°, in order of falling intensity:
- 3.040 Å, rel. 100, (1 0 2)
- 2.905 Å, rel. 54, (1 1 0)
- 1.702 Å, rel. 39, (2 1 2)
- 1.784 Å, rel. 24, (1 1 4)
- 2.054 Å, rel. 23, (2 0 0)
- 1.520 Å, rel. 16, (2 0 4)
- 2.261 Å, rel. 14, (0 0 4)
- 1.126 Å, rel. 11, (3 1 4)
- 1.105 Å, rel. 10, (3 2 2)
- 1.165 Å, rel. 10, (2 1 6)